# 1
The following is a computed powder XRD pattern of Fe5Ni4. It was derived from the GGA-PBE geometry in Alexandria, using Cu Kα.
Neutral-atom scattering factors, no anomalous dispersion.

Principal peaks in the range 2θ = 10–80°, in order of rising 2θ:
- 2θ 16.61, I = 1
- 2θ 43.80, I = 100
- 2θ 43.99, I = 99
- 2θ 50.67, I = 32
- 2θ 51.37, I = 60
- 2θ 75.04, I = 35
- 2θ 75.33, I = 9
- 2θ 75.88, I = 9

Structural model:
Unit cell a=5.6323 b=5.6323 c=5.6323 alpha=142.69 beta=96.19 gamma=95.56
Fractional coordinates of all 9 atoms:
Fe  0.0000  0.0000  0.0000
Fe  0.3272  0.3272  0.0000
Fe  0.3305  0.0000  0.3305
Fe  0.6695  0.0000  0.6695
Fe  0.6728  0.6728  0.0000
Ni  0.0011  0.3341  0.6671
Ni  0.3330  0.6659  0.6671
Ni  0.6670  0.3341  0.3329
Ni  0.9989  0.6659  0.3329



# 2
The following is a computed powder XRD pattern of Fe3Ni. It was derived from the GGA-PBE geometry in Alexandria, using Cu Kα.
Neutral-atom scattering factors, no anomalous dispersion.

Principal peaks in the range 2θ = 10–80°, in order of rising 2θ:
- 2θ 44.91, I = 100
- 2θ 65.40, I = 15

Structural model:
Unit cell a=8.0759 b=8.0759 c=2.4699 alpha=90.00 beta=90.00 gamma=120.00
Fractional coordinates of all 12 atoms:
Fe  0.0000  0.5000  0.0000
Fe  0.1667  0.3333  0.3333
Fe  0.1667  0.8333  0.3333
Fe  0.3333  0.1667  0.6667
Fe  0.5000  0.0000  0.0000
Fe  0.5000  0.5000  0.0000
Fe  0.6667  0.8333  0.3333
Fe  0.8333  0.1667  0.6667
Fe  0.8333  0.6667  0.6667
Ni  0.0000  0.0000  0.0000
Ni  0.3333  0.6667  0.6667
Ni  0.6667  0.3333  0.3333



# 3
The following is a computed powder XRD pattern of Fe3Ni2. It was derived from the GGA-PBE geometry in Alexandria, using Cu Kα.
Neutral-atom scattering factors, no anomalous dispersion.

Principal peaks in the range 2θ = 10–80°, in order of rising 2θ:
- 2θ 39.63, I = 7
- 2θ 43.52, I = 50
- 2θ 44.56, I = 54
- 2θ 45.38, I = 100
- 2θ 45.71, I = 78
- 2θ 48.56, I = 6
- 2θ 49.22, I = 6
- 2θ 53.84, I = 7
- 2θ 64.05, I = 20
- 2θ 68.66, I = 12

Structural model:
Unit cell a=4.0669 b=2.4772 c=11.4746 alpha=90.00 beta=90.00 gamma=90.00
Fractional coordinates of all 10 atoms:
Fe  0.0000  0.0000  0.0000
Fe  0.0000  0.2960  0.3942
Fe  0.0000  0.7040  0.6058
Fe  0.5000  0.0000  0.5000
Fe  0.5000  0.2960  0.1058
Fe  0.5000  0.7040  0.8942
Ni  0.0000  0.2733  0.8050
Ni  0.0000  0.7267  0.1950
Ni  0.5000  0.2733  0.6950
Ni  0.5000  0.7267  0.3050



# 4
The following is a computed powder XRD pattern of Fe3Ni13. It was derived from the GGA-PBE geometry in Alexandria, using Cu Kα.
Neutral-atom scattering factors, no anomalous dispersion.

Principal peaks in the range 2θ = 10–80°, in order of rising 2θ:
- 2θ 41.69, I = 25
- 2θ 44.40, I = 27
- 2θ 47.52, I = 100
- 2θ 62.54, I = 14
- 2θ 76.01, I = 5
- 2θ 76.15, I = 10

Structural model:
Unit cell a=5.0083 b=5.9486 c=5.9486 alpha=86.62 beta=90.00 gamma=90.00
Fractional coordinates of all 16 atoms:
Fe  0.0000  0.0000  0.0000
Fe  0.2501  0.2598  0.2598
Fe  0.7499  0.2598  0.2598
Ni  0.0000  0.4222  0.9252
Ni  0.0000  0.5073  0.5073
Ni  0.0000  0.9252  0.4222
Ni  0.2508  0.1751  0.6745
Ni  0.2508  0.6745  0.1751
Ni  0.2515  0.7573  0.7573
Ni  0.5000  0.0071  0.0071
Ni  0.5000  0.4218  0.9261
Ni  0.5000  0.5065  0.5065
Ni  0.5000  0.9261  0.4218
Ni  0.7492  0.1751  0.6745
Ni  0.7492  0.6745  0.1751
Ni  0.7485  0.7573  0.7573